Record 1
For Y3Cd, a DFT-relaxed cell (PBE, Alexandria) gives the computed powder diffractogram in this record (copper Kα).
No peak broadening, texture or thermal motion is included.

Crystal structure
```
8
Lattice="5.4539 0.0000 0.0000 0.0000 6.8549 0.0000 0.0000 0.0000 6.2027" Properties=species:S:1:pos:R:3 pbc="T T T"
Y 1.3635 0.0439 0.9795
Y 1.3635 1.7137 3.9273
Y 1.3635 3.3835 0.9795
Y 4.0905 3.4714 5.2232
Y 4.0905 5.1412 2.2754
Y 4.0905 6.8110 5.2232
Cd 1.3635 5.1412 4.1308
Cd 4.0905 1.7137 2.0720
```

Largest 10 diffraction maxima, low angle first, 15 to 90 degrees two-theta:
- 29.78°, I = 34
- 32.84°, I = 41
- 33.23°, I = 67
- 34.11°, I = 100
- 44.92°, I = 21
- 51.63°, I = 20
- 58.88°, I = 12
- 59.45°, I = 19
- 62.55°, I = 22
- 64.42°, I = 18


Record 2
For Sr3Ac3NdTe8, a DFT-relaxed cell (PBE, Alexandria) gives the computed powder diffractogram in this record (copper Kα).
No peak broadening, texture or thermal motion is included.

Crystal structure
```
15
Lattice="4.6982 2.7125 7.7535 -4.6982 2.7125 7.7535 0.0000 -5.4250 7.7535" Properties=species:S:1:pos:R:3 pbc="T T T"
Sr -2.3491 -1.3563 7.7535
Sr -2.3491 1.3562 15.5070
Sr 0.0000 2.7125 7.7535
Ac -4.6982 0.0000 11.6303
Ac -2.3491 1.3562 3.8768
Ac 2.3491 1.3563 3.8768
Nd 0.0000 0.0000 11.6303
Te 0.0000 0.0000 5.8442
Te 0.0000 -2.6378 9.7443
Te -2.2844 1.3189 9.7443
Te -2.2844 -1.3189 13.5163
Te 2.2844 1.3189 9.7443
Te 2.2844 -1.3189 13.5163
Te 0.0000 2.6378 13.5163
Te 0.0000 0.0000 17.4164
```

Largest 10 diffraction maxima, low angle first, 15 to 90 degrees two-theta:
- 22.18°, I = 10
- 26.74°, I = 100
- 38.04°, I = 39
- 38.32°, I = 39
- 47.34°, I = 21
- 55.10°, I = 13
- 62.08°, I = 19
- 62.47°, I = 18
- 69.10°, I = 13
- 87.85°, I = 7


Record 3
For Na2ZrTl2O6, a DFT-relaxed cell (PBE, Alexandria) gives the computed powder diffractogram in this record (copper Kα).
No peak broadening, texture or thermal motion is included.

Crystal structure
```
11
Lattice="2.9604 -4.9671 0.0000 2.9604 4.9671 0.0000 -2.1164 0.0000 5.6596" Properties=species:S:1:pos:R:3 pbc="T T T"
Na 2.9604 3.2153 0.0000
Na 2.9604 -3.2153 0.0000
Zr -1.0582 0.0000 2.8298
Tl 1.9022 1.6347 2.8298
Tl 1.9022 -1.6347 2.8298
O -0.2092 1.5968 4.0286
O 0.7572 0.0000 1.6856
O -0.2092 -1.5968 4.0286
O 4.0136 1.5968 1.6310
O 3.0472 0.0000 3.9740
O 4.0136 -1.5968 1.6310
```

Largest 10 diffraction maxima, low angle first, 15 to 90 degrees two-theta:
- 15.66°, I = 100
- 30.53°, I = 17
- 31.47°, I = 32
- 31.62°, I = 17
- 32.28°, I = 16
- 32.61°, I = 30
- 36.57°, I = 24
- 37.88°, I = 41
- 53.23°, I = 14
- 54.11°, I = 14